(1)
Calculated powder XRD pattern of Ba3CrF12 for CuKα, from a crystal structure in Alexandria, relaxed with PBE+U.

Peak list (10 most intense, 15 to 90 degrees two-theta, in order of rising 2θ)
Position (°2θ)	intensity
19.05	100
22.58	39
23.84	83
34.86	41
35.74	24
37.62	36
38.65	43
43.22	33
46.12	28
48.79	23

Structural model:
Unit cell a=7.9845 b=7.9845 c=6.6504 alpha=92.94 beta=92.94 gamma=110.35
Fractional positions:
Ba: 0.0000 0.0000 0.0000
Ba: 0.0000 0.5000 0.5000
Ba: 0.5000 0.0000 0.5000
Cr: 0.0000 0.0000 0.5000
F: 0.0372 0.2154 0.3270
F: 0.0410 0.2211 0.6889
F: 0.2154 0.0372 0.3270
F: 0.2211 0.0410 0.6889
F: 0.3176 0.6629 0.3479
F: 0.3371 0.6824 0.6521
F: 0.6629 0.3176 0.3479
F: 0.6824 0.3371 0.6521
F: 0.7789 0.9590 0.3110
F: 0.7846 0.9628 0.6730
F: 0.9590 0.7789 0.3110
F: 0.9628 0.7846 0.6730

(2)
Calculated powder XRD pattern of Ba2Cr3F10 for CuKα, from a crystal structure in Alexandria, relaxed with PBE+U.

Peak list (10 most intense, 15 to 90 degrees two-theta, in order of rising 2θ)
Position (°2θ)	intensity
26.31	100
26.44	54
26.95	95
27.09	55
28.33	70
36.52	47
39.60	81
47.40	30
50.21	24
53.91	24

Structural model:
Unit cell a=10.0117 b=10.0117 c=7.9597 alpha=110.20 beta=110.20 gamma=38.38
Fractional positions:
Ba: 0.1116 0.1116 0.2132
Ba: 0.1968 0.2330 0.8195
Ba: 0.7670 0.8032 0.1805
Ba: 0.8884 0.8884 0.7868
Cr: 0.2124 0.7876 0.5000
Cr: 0.3213 0.3215 0.4802
Cr: 0.4042 0.4390 0.0383
Cr: 0.5610 0.5958 0.9617
Cr: 0.6785 0.6787 0.5198
Cr: 0.7321 0.2679 0.5000
F: 0.0320 0.4471 0.4525
F: 0.0863 0.6927 0.4758
F: 0.1207 0.5716 0.0485
F: 0.2255 0.7745 0.0000
F: 0.3053 0.4206 0.7542
F: 0.3073 0.9137 0.5242
F: 0.3407 0.1841 0.2242
F: 0.4284 0.8793 0.9515
F: 0.4516 0.4991 0.3127
F: 0.5009 0.5484 0.6873
F: 0.5529 0.9680 0.5475
F: 0.5794 0.6947 0.2458
F: 0.5821 0.0897 0.9783
F: 0.6325 0.1525 0.4938
F: 0.6814 0.3186 0.0000
F: 0.8159 0.6593 0.7758
F: 0.8475 0.3675 0.5062
F: 0.9103 0.4179 0.0217
F: 0.9491 0.0080 0.3000
F: 0.9920 0.0509 0.7000

(3)
Calculated powder XRD pattern of Ba2CrF2 for CuKα, from a crystal structure in Alexandria, relaxed with PBE+U.

Peak list (10 most intense, 15 to 90 degrees two-theta, in order of rising 2θ)
Position (°2θ)	intensity
19.97	53
21.76	38
29.70	100
30.96	74
37.12	43
44.36	26
49.09	19
51.91	31
54.30	37
61.68	18

Structural model:
Unit cell a=6.0372 b=6.0372 c=6.0372 alpha=122.84 beta=122.84 gamma=85.14
Fractional positions:
Ba: 0.2500 0.7500 0.5000
Ba: 0.7500 0.2500 0.5000
Cr: 0.0000 0.0000 0.0000
F: 0.2266 0.2266 0.0000
F: 0.7734 0.7734 0.0000

(4)
Calculated powder XRD pattern of K2BaCrF6 for CuKα, from a crystal structure in Alexandria, relaxed with PBE+U.

Peak list (10 most intense, 15 to 90 degrees two-theta, in order of rising 2θ)
Position (°2θ)	intensity
19.35	74
20.03	30
26.68	48
27.86	100
28.11	86
28.29	36
33.10	32
39.28	62
40.70	31
49.67	29

Structural model:
Unit cell a=6.3102 b=6.6825 c=10.8241 alpha=90.00 beta=124.99 gamma=90.00
Fractional positions:
K: 0.2234 0.0518 0.2384
K: 0.2234 0.4482 0.7384
K: 0.7766 0.5518 0.2616
K: 0.7766 0.9482 0.7616
Ba: 0.0000 0.0000 0.5000
Ba: 0.0000 0.5000 0.0000
Cr: 0.5000 0.0000 0.0000
Cr: 0.5000 0.5000 0.5000
F: 0.1943 0.1743 0.9634
F: 0.1943 0.3257 0.4634
F: 0.2315 0.7156 0.9188
F: 0.2315 0.7844 0.4188
F: 0.3889 0.0567 0.7829
F: 0.3889 0.4433 0.2828
F: 0.6111 0.5567 0.7171
F: 0.6111 0.9433 0.2172
F: 0.7685 0.2156 0.5812
F: 0.7685 0.2844 0.0812
F: 0.8057 0.6743 0.5366
F: 0.8057 0.8257 0.0366

(5)
Calculated powder XRD pattern of BaNaCr2F9 for CuKα, from a crystal structure in Alexandria, relaxed with PBE+U.

Peak list (10 most intense, 15 to 90 degrees two-theta, in order of rising 2θ)
Position (°2θ)	intensity
20.90	59
24.47	63
24.92	70
25.35	58
25.82	100
27.96	55
30.35	55
32.41	69
42.54	52
42.71	53

Structural model:
Unit cell a=5.5293 b=17.6659 c=9.1451 alpha=90.00 beta=125.62 gamma=90.00
Fractional positions:
Ba: 0.1558 0.2152 0.4316
Ba: 0.1558 0.2848 0.9316
Ba: 0.8442 0.7152 0.0684
Ba: 0.8442 0.7848 0.5684
Na: 0.0634 0.5406 0.8109
Na: 0.0634 0.9594 0.3109
Na: 0.9366 0.0406 0.6891
Na: 0.9366 0.4594 0.1891
Cr: 0.3101 0.6216 0.5902
Cr: 0.3101 0.8784 0.0902
Cr: 0.4920 0.0800 0.2257
Cr: 0.4920 0.4200 0.7257
Cr: 0.5080 0.5800 0.2743
Cr: 0.5080 0.9200 0.7743
Cr: 0.6899 0.1216 0.9098
Cr: 0.6899 0.3784 0.4098
F: 0.0851 0.0756 0.9977
F: 0.0851 0.4244 0.4977
F: 0.1111 0.5825 0.0598
F: 0.1111 0.9175 0.5598
F: 0.1195 0.7080 0.4379
F: 0.1195 0.7920 0.9379
F: 0.2886 0.6645 0.7749
F: 0.2886 0.8355 0.2749
F: 0.3025 0.1635 0.8016
F: 0.3025 0.3365 0.3016
F: 0.3220 0.5675 0.4049
F: 0.3220 0.9325 0.9049
F: 0.3293 0.0818 0.3608
F: 0.3293 0.4182 0.8608
F: 0.4904 0.6875 0.2855
F: 0.4904 0.8125 0.7855
F: 0.4995 0.5318 0.7466
F: 0.4995 0.9682 0.2466
F: 0.5005 0.0318 0.7534
F: 0.5005 0.4682 0.2534
F: 0.5096 0.1875 0.2145
F: 0.5096 0.3125 0.7145
F: 0.6707 0.5818 0.1392
F: 0.6707 0.9182 0.6392
F: 0.6780 0.0675 0.0951
F: 0.6780 0.4325 0.5951
F: 0.6975 0.6635 0.6984
F: 0.6975 0.8365 0.1984
F: 0.7114 0.1645 0.7251
F: 0.7114 0.3355 0.2251
F: 0.8805 0.2080 0.0621
F: 0.8805 0.2920 0.5621
F: 0.8889 0.0825 0.4402
F: 0.8889 0.4175 0.9402
F: 0.9149 0.5756 0.5023
F: 0.9149 0.9244 0.0023

(6)
Calculated powder XRD pattern of Rb2BaCrF6 for CuKα, from a crystal structure in Alexandria, relaxed with PBE+U.

Peak list (10 most intense, 15 to 90 degrees two-theta, in order of rising 2θ)
Position (°2θ)	intensity
16.83	17
25.26	22
27.16	100
27.53	29
37.71	32
39.05	13
39.86	18
43.39	13
48.45	20
56.03	15

Structural model:
Unit cell a=6.4806 b=9.0460 c=7.0514 alpha=90.00 beta=90.00 gamma=90.00
Fractional positions:
Rb: 0.2500 0.0291 0.1869
Rb: 0.2500 0.4709 0.1869
Rb: 0.7500 0.5291 0.8131
Rb: 0.7500 0.9709 0.8131
Ba: 0.2500 0.2500 0.6985
Ba: 0.7500 0.7500 0.3015
Cr: 0.2500 0.7500 0.7866
Cr: 0.7500 0.2500 0.2134
F: 0.0069 0.2500 0.4134
F: 0.0162 0.7500 0.0246
F: 0.2500 0.5265 0.7879
F: 0.2500 0.9735 0.7879
F: 0.4838 0.7500 0.0246
F: 0.4931 0.2500 0.4134
F: 0.5069 0.7500 0.5866
F: 0.5162 0.2500 0.9754
F: 0.7500 0.0265 0.2121
F: 0.7500 0.4735 0.2121
F: 0.9838 0.2500 0.9754
F: 0.9931 0.7500 0.5866

(7)
Calculated powder XRD pattern of BaSr2CrF8 for CuKα, from a crystal structure in Alexandria, relaxed with PBE+U.

Peak list (10 most intense, 15 to 90 degrees two-theta, in order of rising 2θ)
Position (°2θ)	intensity
24.89	100
25.42	100
27.00	81
27.43	77
30.02	25
40.74	48
42.60	43
43.70	75
43.84	40
46.02	32

Structural model:
Unit cell a=4.2599 b=5.8709 c=8.2885 alpha=85.40 beta=88.98 gamma=85.14
Fractional positions:
Ba: 0.0000 0.0000 0.0000
Sr: 0.4907 0.4817 0.2613
Sr: 0.5093 0.5183 0.7387
Cr: 0.0000 0.0000 0.5000
F: 0.0330 0.3160 0.7549
F: 0.0536 0.1887 0.2876
F: 0.3928 0.7706 0.4809
F: 0.4878 0.2670 0.0137
F: 0.5122 0.7330 0.9863
F: 0.6072 0.2294 0.5191
F: 0.9464 0.8113 0.7124
F: 0.9670 0.6840 0.2451

(8)
Calculated powder XRD pattern of BaCr2GaO8 for CuKα, from a crystal structure in Alexandria, relaxed with PBE+U.

Peak list (10 most intense, 15 to 90 degrees two-theta, in order of rising 2θ)
Position (°2θ)	intensity
19.34	62
22.78	64
30.98	100
33.83	66
35.99	15
41.89	19
46.53	39
58.76	33
60.53	17
60.94	27

Structural model:
Unit cell a=5.2986 b=5.2986 c=7.4250 alpha=90.00 beta=90.00 gamma=120.00
Fractional positions:
Ba: 0.0000 0.0000 0.0000
Cr: 0.3333 0.6667 0.7307
Cr: 0.6667 0.3333 0.2693
Ga: 0.0000 0.0000 0.5000
O: 0.0780 0.3249 0.6653
O: 0.2469 0.9220 0.6653
O: 0.3249 0.2469 0.3347
O: 0.3333 0.6667 0.9553
O: 0.6667 0.3333 0.0447
O: 0.6751 0.7531 0.6653
O: 0.7531 0.0780 0.3347
O: 0.9220 0.6751 0.3347

(9)
Calculated powder XRD pattern of BaCrGaO4 for CuKα, from a crystal structure in Alexandria, relaxed with PBE+U.

Peak list (10 most intense, 15 to 90 degrees two-theta, in order of rising 2θ)
Position (°2θ)	intensity
23.10	23
24.03	26
24.15	39
25.76	19
28.76	27
30.14	21
31.03	100
33.45	22
38.39	25
47.22	18

Structural model:
Unit cell a=5.3853 b=5.7604 c=7.1972 alpha=90.00 beta=106.03 gamma=90.00
Fractional positions:
Ba: 0.2414 0.2500 0.4515
Ba: 0.7586 0.7500 0.5485
Cr: 0.3998 0.2500 0.0037
Cr: 0.6002 0.7500 0.9963
Ga: 0.2017 0.7500 0.1699
Ga: 0.7983 0.2500 0.8301
O: 0.0627 0.2500 0.0519
O: 0.1627 0.7500 0.4119
O: 0.4818 0.5271 0.1758
O: 0.4818 0.9729 0.1758
O: 0.5182 0.0271 0.8242
O: 0.5182 0.4729 0.8242
O: 0.8373 0.2500 0.5881
O: 0.9373 0.7500 0.9481